Computed PXRD pattern
Compound: Cu2BiSO2
Radiation: Cu Kα (λ = 1.5418 Å)
Structure: a structure optimized by DFT (PBE)
Intensities are scaled so that the largest is 1000.

Top 10 peaks for 10 to 90 degrees two-theta, in order of rising 2θ:
5.932 Å, I 209, (0 0 2)
3.955 Å, I 324, (0 0 3)
3.356 Å, I 1000, (1 0 0)
2.559 Å, I 442, (1 0 3)
2.373 Å, I 399, (1 1 0)
2.035 Å, I 234, (1 1 3)
1.704 Å, I 259, (1 0 6)
1.519 Å, I 175, (1 1 6)
1.501 Å, I 174, (2 1 0)
1.195 Å, I 157, (2 1 6)

Crystal structure
Cell lengths 3.3556, 3.3556, 11.8640 Å; angles 90.00, 90.00, 90.00 degrees
Atoms (fractional coordinates):
Cu (0.0000, 0.0000, 0.1721)
Cu (0.0000, 0.0000, 0.8279)
Bi (0.0000, 0.0000, 0.5000)
S (0.0000, 0.0000, 0.0000)
O (0.0000, 0.0000, 0.3183)
O (0.0000, 0.0000, 0.6817)